1.
Cs2GeAu: calculated powder XRD pattern (Cu Kα, 1.54184 Å), based on a GGA-PBE-relaxed structure.
Neutral-atom scattering factors, no anomalous dispersion.

Cell and atoms:
```
data_Cs2GeAu
_chemical_formula_sum 'Cs8 Ge4 Au4'
_cell_length_a 11.369
_cell_length_b 7.689
_cell_length_c 7.628
_cell_angle_alpha 90.00
_cell_angle_beta 90.00
_cell_angle_gamma 90.00
_space_group_name_H-M_alt 'C m c m'
_space_group_IT_number 63
_space_group_name_Hall '-C 2c 2'
loop_
_atom_site_label
_atom_site_type_symbol
_atom_site_fract_x
_atom_site_fract_y
_atom_site_fract_z
Cs1 Cs 0.169 0.165 0.250
Ge1 Ge 0.000 0.289 0.750
Au1 Au 0.000 0.500 0.000
```

Peak list (8 most intense, 2θ = 15–90°, by angle)
2theta, intensity, h k l
25.95, 51, 0 2 1
26.22, 86, 3 1 0
27.25, 77, 1 1 2
28.17, 40, 2 0 2
28.75, 100, 3 1 1
33.08, 60, 0 2 2
48.04, 37, 6 0 0
49.11, 66, 3 3 2


2.
Gd3CuGeSe7: calculated powder XRD pattern (Cu Kα, 1.54184 Å), based on a GGA-PBE-relaxed structure.
Neutral-atom scattering factors, no anomalous dispersion.

Cell and atoms:
```
data_Gd3CuGeSe7
_chemical_formula_sum 'Gd6 Cu2 Ge2 Se14'
_cell_length_a 10.4466
_cell_length_b 10.4466
_cell_length_c 6.1258
_cell_angle_alpha 90.00
_cell_angle_beta 90.00
_cell_angle_gamma 120.00
_space_group_name_H-M_alt 'P 63'
_space_group_IT_number 173
loop_
_space_group_symop_operation_xyz
'x,y,z'
'x-y,x,z+1/2'
'-y,x-y,z'
'-x,-y,z+1/2'
'-x+y,-x,z'
'y,-x+y,z+1/2'
loop_
_atom_site_label
_atom_site_type_symbol
_atom_site_fract_x
_atom_site_fract_y
_atom_site_fract_z
Gd1 Gd 0.1329 0.3556 0.0000
Cu1 Cu 0.0000 0.0000 0.4547
Ge1 Ge 0.3333 0.6667 0.5841
Se1 Se 0.0946 0.5770 0.7480
Se2 Se 0.0990 0.2598 0.4704
Se3 Se 0.3333 0.6667 0.1987
```

Peak list (8 most intense, 2θ = 15–90°, by angle)
2theta, intensity, h k l
24.46, 64, 2 0 1
29.93, 56, 1 2 1
30.82, 65, 1 0 2
33.11, 51, 3 0 1
34.34, 100, 2 2 0
35.39, 60, 2 0 2
35.79, 68, 1 3 0
39.50, 59, 1 2 2


3.
BaHBrO: calculated powder XRD pattern (Cu Kα, 1.54184 Å), based on a GGA-PBE-relaxed structure.
Neutral-atom scattering factors, no anomalous dispersion.

Cell and atoms:
```
data_BaHBrO
_chemical_formula_sum 'Ba4 H4 Br4 O4'
_cell_length_a 7.661
_cell_length_b 4.421
_cell_length_c 10.863
_cell_angle_alpha 90.00
_cell_angle_beta 90.00
_cell_angle_gamma 90.00
_space_group_name_H-M_alt 'P n m a'
_space_group_IT_number 62
loop_
_space_group_symop_operation_xyz
'x,y,z'
'-x,-y,-z'
'-x+1/2,-y,z+1/2'
'x+1/2,y,-z+1/2'
'x+1/2,-y+1/2,-z+1/2'
'-x+1/2,y+1/2,z+1/2'
'-x,y+1/2,-z'
'x,-y+1/2,z'
loop_
_atom_site_label
_atom_site_type_symbol
_atom_site_fract_x
_atom_site_fract_y
_atom_site_fract_z
Ba1 Ba 0.197 0.250 0.091
H1 H 0.233 0.750 0.903
Br1 Br 0.038 0.750 0.322
O1 O 0.140 0.750 0.964
```

Peak list (8 most intense, 2θ = 15–90°, by angle)
2theta, intensity, h k l
20.04, 46, 1 0 2
24.65, 86, 1 1 1
28.52, 76, 1 1 2
31.97, 100, 0 1 3
35.08, 19, 1 0 4
36.13, 23, 3 0 1
40.81, 29, 0 2 0
53.44, 23, 3 1 4


4.
Pm2Sn4PdRh3: calculated powder XRD pattern (Cu Kα, 1.54184 Å), based on a GGA-PBE-relaxed structure.
Neutral-atom scattering factors, no anomalous dispersion.

Cell and atoms:
```
data_Pm2Sn4PdRh3
_chemical_formula_sum 'Pm2 Sn4 Pd1 Rh3'
_cell_length_a 4.493
_cell_length_b 4.493
_cell_length_c 10.819
_cell_angle_alpha 90.00
_cell_angle_beta 90.00
_cell_angle_gamma 90.00
_space_group_name_H-M_alt 'P -4 m 2'
_space_group_IT_number 115
loop_
_space_group_symop_operation_xyz
'x,y,z'
'y,-x,-z'
'-x,-y,z'
'-y,x,-z'
'-x,y,z'
'-y,-x,-z'
'x,-y,z'
'y,x,-z'
loop_
_atom_site_label
_atom_site_type_symbol
_atom_site_fract_x
_atom_site_fract_y
_atom_site_fract_z
Pm1 Pm 0.000 0.500 0.247
Sn1 Sn 0.000 0.000 0.000
Sn2 Sn 0.000 0.500 0.632
Sn3 Sn 0.500 0.500 0.000
Pd1 Pd 0.000 0.000 0.500
Rh1 Rh 0.000 0.500 0.869
Rh2 Rh 0.500 0.500 0.500
```

Peak list (8 most intense, 2θ = 15–90°, by angle)
2theta, intensity, h k l
31.82, 57, 1 0 3
32.69, 100, 1 1 2
40.14, 67, 2 0 0
43.96, 27, 1 1 4
46.59, 27, 1 0 5
52.10, 29, 2 1 3
58.06, 23, 2 2 0
68.25, 24, 3 1 2


5.
Nd3B2C4: calculated powder XRD pattern (Cu Kα, 1.54184 Å), based on a GGA-PBE-relaxed structure.
Neutral-atom scattering factors, no anomalous dispersion.

Cell and atoms:
```
data_Nd3B2C4
_chemical_formula_sum 'Nd6 B4 C8'
_cell_length_a 3.822
_cell_length_b 6.388
_cell_length_c 11.523
_cell_angle_alpha 90.00
_cell_angle_beta 90.00
_cell_angle_gamma 90.00
_space_group_name_H-M_alt 'I m m m'
_space_group_IT_number 71
_space_group_name_Hall '-I 2 2'
loop_
_atom_site_label
_atom_site_type_symbol
_atom_site_fract_x
_atom_site_fract_y
_atom_site_fract_z
Nd1 Nd 0.000 0.000 0.000
Nd2 Nd 0.000 0.500 0.197
B1 B 0.000 0.206 0.500
C1 C 0.000 0.258 0.378
```

Peak list (8 most intense, 2θ = 15–90°, by angle)
2theta, intensity, h k l
24.54, 22, 1 0 1
27.10, 85, 0 1 3
27.94, 33, 0 2 0
31.38, 100, 1 1 2
37.52, 34, 1 2 1
45.98, 24, 1 0 5
51.64, 23, 1 3 2
54.67, 26, 1 2 5


6.
La6Pm2Pr: calculated powder XRD pattern (Cu Kα, 1.54184 Å), based on a GGA-PBE-relaxed structure.
Neutral-atom scattering factors, no anomalous dispersion.

Cell and atoms:
```
data_La6Pm2Pr
_chemical_formula_sum 'La12 Pm4 Pr2'
_cell_length_a 10.186
_cell_length_b 17.828
_cell_length_c 3.565
_cell_angle_alpha 90.00
_cell_angle_beta 90.00
_cell_angle_gamma 90.00
_space_group_name_H-M_alt 'C m m m'
_space_group_IT_number 65
_space_group_name_Hall '-C 2 2'
loop_
_atom_site_label
_atom_site_type_symbol
_atom_site_fract_x
_atom_site_fract_y
_atom_site_fract_z
La1 La 0.170 0.000 0.000
La2 La 0.171 0.333 0.000
Pm1 Pm 0.000 0.166 0.500
Pr1 Pr 0.000 0.500 0.500
```

Peak list (8 most intense, 2θ = 15–90°, by angle)
2theta, intensity, h k l
30.07, 38, 0 6 0
30.32, 75, 3 3 0
30.56, 100, 2 0 1
43.45, 27, 2 6 1
53.56, 15, 3 9 0
53.97, 19, 6 0 0
54.10, 16, 5 3 1
60.72, 21, 3 3 2


7.
PrTh2PN5: calculated powder XRD pattern (Cu Kα, 1.54184 Å), based on a GGA-PBE-relaxed structure.
Neutral-atom scattering factors, no anomalous dispersion.

Cell and atoms:
```
data_PrTh2PN5
_chemical_formula_sum 'Pr2 Th4 P2 N10'
_cell_length_a 6.762
_cell_length_b 6.762
_cell_length_c 5.637
_cell_angle_alpha 90.00
_cell_angle_beta 90.00
_cell_angle_gamma 90.00
_space_group_name_H-M_alt 'P 4/m b m'
_space_group_IT_number 127
_space_group_name_Hall '-P 4 2ab'
loop_
_atom_site_label
_atom_site_type_symbol
_atom_site_fract_x
_atom_site_fract_y
_atom_site_fract_z
Pr1 Pr 0.000 0.000 0.000
Th1 Th 0.179 0.321 0.500
P1 P 0.000 0.500 0.000
N1 N 0.000 0.000 0.500
N2 N 0.131 0.631 0.221
```

Peak list (8 most intense, 2θ = 15–90°, by angle)
2theta, intensity, h k l
15.72, 47, 0 0 1
24.41, 28, 1 1 1
29.54, 42, 2 1 0
30.84, 100, 2 0 1
31.75, 40, 0 0 2
33.63, 85, 2 1 1
43.91, 48, 2 1 2
56.03, 34, 2 0 3


8.
LiAlW: calculated powder XRD pattern (Cu Kα, 1.54184 Å), based on a GGA-PBE-relaxed structure.
Neutral-atom scattering factors, no anomalous dispersion.

Cell and atoms:
```
data_LiAlW
_chemical_formula_sum 'Li2 Al2 W2'
_cell_length_a 2.723
_cell_length_b 4.444
_cell_length_c 7.857
_cell_angle_alpha 90.00
_cell_angle_beta 93.71
_cell_angle_gamma 90.00
_space_group_name_H-M_alt 'P 1 m 1'
_space_group_IT_number 6
loop_
_space_group_symop_operation_xyz
'x,y,z'
'x,-y,z'
loop_
_atom_site_label
_atom_site_type_symbol
_atom_site_fract_x
_atom_site_fract_y
_atom_site_fract_z
Li1 Li 0.000 0.000 0.000
Li2 Li 0.175 0.500 0.173
Al1 Al 0.646 0.000 0.329
Al2 Al 0.841 0.500 0.508
W1 W 0.273 0.000 0.660
W2 W 0.551 0.500 0.820
```

Peak list (8 most intense, 2θ = 15–90°, by angle)
2theta, intensity, h k l
23.01, 54, 0 1 1
30.41, 79, 0 1 2
39.10, 47, 1 0 -2
40.02, 100, 0 1 3
40.61, 44, 0 2 0
41.22, 80, 1 1 1
42.28, 38, 0 2 1
46.62, 47, 1 1 2